Record 1
Diffraction record for AcDyCuPd. The powder X-ray diffraction pattern is simulated, not measured: it uses a DFT-relaxed cell (GGA-PBE, Alexandria) and Cu Ka.

Crystal structure
```
AcDyCuPd
1.0
0.0000 3.6644 3.6644
3.6644 0.0000 3.6644
3.6644 3.6644 0.0000
Ac Dy Cu Pd
1 1 1 1
Direct
0.0000 0.0000 0.0000 Ac
0.5000 0.5000 0.5000 Dy
0.7500 0.7500 0.7500 Cu
0.2500 0.2500 0.2500 Pd
```

Peak list (10 most intense, 10 to 90 degrees two-theta, in order of falling intensity)
two_theta	d_spacing	I (rel.)
34.6	2.591	100
62.0	1.496	37
49.8	1.832	18
83.4	1.159	16
24.3	3.664	16
73.0	1.296	11
56.1	1.639	7
42.7	2.116	5
21.0	4.231	4
78.3	1.221	4



Record 2
Diffraction record for TcPb2OF. The powder X-ray diffraction pattern is simulated, not measured: it uses a DFT-relaxed cell (GGA-PBE, Alexandria) and Cu Ka.

Crystal structure
```
TcPb2OF
1.0
5.1640 0.0000 0.0000
0.0000 5.1640 0.0000
0.0000 0.0000 3.9780
Tc Pb O F
1 2 1 1
Direct
0.0000 0.0000 0.0000 Tc
0.0000 0.5000 0.5000 Pb
0.5000 0.0000 0.5000 Pb
0.5000 0.5000 0.0000 O
0.0000 0.0000 0.5000 F
```

Peak list (10 most intense, 10 to 90 degrees two-theta, in order of falling intensity)
two_theta	d_spacing	I (rel.)
33.3	2.690	100
34.7	2.582	52
61.4	1.511	35
24.4	3.652	30
22.3	3.978	25
58.6	1.576	23
41.7	2.166	21
50.0	1.826	19
69.9	1.345	14
45.6	1.989	12



Record 3
Diffraction record for Dy3InTc. The powder X-ray diffraction pattern is simulated, not measured: it uses a DFT-relaxed cell (GGA-PBE, Alexandria) and Cu Ka.

Crystal structure
```
Dy3InTc
1.0
0.0000 4.8295 8.0203
3.3262 0.0000 8.0203
3.3262 4.8295 0.0000
Dy In Tc
6 2 2
Direct
0.1986 0.5816 0.4184 Dy
0.2007 0.2007 0.7993 Dy
0.4184 0.8014 0.1986 Dy
0.5816 0.1986 0.8014 Dy
0.7993 0.7993 0.2007 Dy
0.8014 0.4184 0.5816 Dy
0.2065 0.7935 0.7935 In
0.7935 0.2065 0.2065 In
0.2500 0.2500 0.2500 Tc
0.7500 0.7500 0.7500 Tc
```

Peak list (10 most intense, 10 to 90 degrees two-theta, in order of falling intensity)
two_theta	d_spacing	I (rel.)
34.6	2.592	100
31.4	2.852	83
32.3	2.768	77
35.1	2.560	68
28.9	3.085	47
57.4	1.606	47
38.5	2.339	40
35.2	2.548	37
39.9	2.262	36
26.8	3.326	26